Entry 1:
Diffraction record for PmPr3Sm8. The powder XRD pattern is simulated, not measured: it uses a GGA-PBE-relaxed structure and copper Kα.

a b c (Å): 8.8533 8.8533 11.5227
angles (deg): 90.00 90.00 90.00
Space group I-42m (No. 121)
Asymmetric unit:
Pm 0.0000 0.0000 0.0000
Pr 0.0000 0.0000 0.5000
Pr 0.0000 0.5000 0.2500
Sm 0.1236 0.1236 0.2485
Sm 0.2482 0.2482 0.9962

Peak list (10 most intense, 5 to 70 degrees two-theta, by angle)
hkl 1 1 0, 14.1°, rel. 30; hkl 2 1 1, 23.8°, rel. 67; hkl 2 0 2, 25.4°, rel. 59; hkl 2 2 0, 28.5°, rel. 82; hkl 0 0 4, 31.0°, rel. 75; hkl 2 2 2, 32.5°, rel. 61; hkl 3 1 2, 35.7°, rel. 100; hkl 2 2 4, 42.7°, rel. 55; hkl 4 0 2, 43.8°, rel. 68; hkl 4 4 4, 68.2°, rel. 31

---

Entry 2:
Diffraction record for Ca2In8Co. The powder XRD pattern is simulated, not measured: it uses a GGA-PBE-relaxed structure and copper Kα.

a b c (Å): 4.6415 4.6415 12.3518
angles (deg): 90.00 90.00 90.00
Space group P4/mmm (No. 123)
Asymmetric unit:
Ca 0.0000 0.0000 0.1946
In 0.0000 0.5000 0.0000
In 0.0000 0.5000 0.3822
In 0.5000 0.5000 0.1916
Co 0.0000 0.0000 0.5000

Peak list (10 most intense, 5 to 70 degrees two-theta, by angle)
hkl 1 1 0, 27.2°, rel. 13; hkl 1 1 2, 30.9°, rel. 39; hkl 1 1 3, 35.0°, rel. 100; hkl 0 0 5, 36.4°, rel. 23; hkl 2 0 0, 38.8°, rel. 59; hkl 2 0 5, 54.2°, rel. 28; hkl 2 2 0, 56.0°, rel. 19; hkl 1 1 8, 67.0°, rel. 16; hkl 3 1 3, 67.8°, rel. 27; hkl 2 2 5, 68.7°, rel. 14

---

Entry 3:
Diffraction record for Ho2Tm5Mg. The powder XRD pattern is simulated, not measured: it uses a GGA-PBE-relaxed structure and copper Kα.

a b c (Å): 3.5137 8.5013 16.2148
angles (deg): 98.38 96.20 90.02
Space group P-1 (No. 2)
Asymmetric unit:
Ho 0.0205 0.3054 0.0409
Ho 0.2296 0.3225 0.4600
Tm 0.1731 0.6201 0.3449
Tm 0.2942 0.0294 0.5888
Tm 0.3710 0.7164 0.7430
Tm 0.4234 0.3734 0.8479
Tm 0.4530 0.0140 0.9066
Mg 0.1247 0.9408 0.2479

Peak list (10 most intense, 5 to 70 degrees two-theta, by angle)
hkl 0 1 -5, 28.5°, rel. 37; hkl 1 0 2, 29.0°, rel. 15; hkl 0 1 5, 31.4°, rel. 19; hkl 1 1 2, 31.7°, rel. 100; hkl 0 3 0, 31.9°, rel. 39; hkl 0 2 -5, 32.7°, rel. 18; hkl 1 2 -3, 34.9°, rel. 51; hkl 1 -2 3, 37.1°, rel. 19; hkl 2 0 -1, 52.1°, rel. 17; hkl 2 3 -1, 62.4°, rel. 13

---

Entry 4:
Diffraction record for RbS6. The powder XRD pattern is simulated, not measured: it uses a GGA-PBE-relaxed structure and copper Kα.

a b c (Å): 6.3916 8.2280 17.5416
angles (deg): 90.00 90.18 90.00
Space group P2_1/c (No. 14)
Asymmetric unit:
Rb 0.2163 0.0064 0.3434
S 0.0034 0.1181 0.0828
S 0.0086 0.5748 0.6522
S 0.2442 0.2217 0.6273
S 0.2454 0.7465 0.1156
S 0.3024 0.6456 0.2173
S 0.3561 0.1008 0.5380

Peak list (10 most intense, 5 to 70 degrees two-theta, by angle)
hkl 0 1 1, 11.9°, rel. 31; hkl 1 0 0, 13.9°, rel. 20; hkl 1 1 -1, 18.3°, rel. 52; hkl 0 0 4, 20.3°, rel. 52; hkl 1 0 4, 24.7°, rel. 31; hkl 1 2 -2, 27.7°, rel. 100; hkl 2 1 -1, 30.4°, rel. 42; hkl 1 1 -5, 31.0°, rel. 40; hkl 2 1 3, 33.8°, rel. 35; hkl 1 3 1, 36.0°, rel. 33

---

Entry 5:
Diffraction record for CaMg10Cd3. The powder XRD pattern is simulated, not measured: it uses a GGA-PBE-relaxed structure and copper Kα.

a b c (Å): 14.3249 14.3249 14.3249
angles (deg): 90.00 90.00 90.00
Space group Fm-3m (No. 225)
Asymmetric unit:
Ca 0.2500 0.2500 0.2500
Mg 0.0000 0.1740 0.1740
Mg 0.1150 0.1150 0.3850
Cd 0.0000 0.0000 0.2672

Peak list (10 most intense, 5 to 70 degrees two-theta, by angle)
hkl 2 0 0, 12.4°, rel. 15; hkl 2 2 0, 17.5°, rel. 26; hkl 2 2 2, 21.5°, rel. 100; hkl 4 0 0, 24.9°, rel. 42; hkl 3 3 3, 32.5°, rel. 26; hkl 4 4 0, 35.4°, rel. 73; hkl 5 3 1, 37.1°, rel. 18; hkl 6 2 2, 41.8°, rel. 77; hkl 6 6 2, 56.0°, rel. 23; hkl 8 4 4, 63.6°, rel. 26

---

Entry 6:
Diffraction record for La2TbNdY. The powder XRD pattern is simulated, not measured: it uses a GGA-PBE-relaxed structure and copper Kα.

a b c (Å): 6.5211 7.9640 6.7929
angles (deg): 90.00 90.00 90.00
Space group Pmma (No. 51)
Asymmetric unit:
La 0.2500 0.2006 0.2063
Tb 0.2500 0.0000 0.6766
Nd 0.2500 0.5000 0.9140
Y 0.0000 0.5000 0.5000

Peak list (10 most intense, 5 to 70 degrees two-theta, by angle)
hkl 2 0 0, 27.4°, rel. 38; hkl 0 1 2, 28.6°, rel. 31; hkl 1 2 1, 29.4°, rel. 100; hkl 1 1 2, 31.8°, rel. 39; hkl 2 1 1, 32.5°, rel. 29; hkl 2 0 2, 38.3°, rel. 16; hkl 1 3 1, 39.0°, rel. 20; hkl 2 3 1, 46.1°, rel. 22; hkl 3 2 1, 49.6°, rel. 26; hkl 4 0 0, 56.4°, rel. 16